(1)
The following is a computed powder XRD pattern of Na2V2PbO7. It was derived from a PBE+U-relaxed structure, using Cu Kα, 1.54184 Å.
Lines closer than 0.1° are merged.

Structure:
Lattice parameters (Å, degrees): 5.8947 5.8947 23.4234 90.00 90.00 120.00
Space group R32 (No. 155, hexagonal axes)
Asymmetric unit:
Na: 0.0000 0.0000 0.2382 [6 per cell]
V: 0.0000 0.0000 0.0773 [6 per cell]
Pb: 0.0000 0.0000 0.5000 [3 per cell]
O: 0.0000 0.0000 0.0000 [3 per cell]
O: 0.0264 0.2876 0.1021 [18 per cell]

The 10 most intense peaks (5 to 70 degrees two-theta), by angle:
hkl 0 0 3, 11.33°, rel. 84; hkl 0 1 2, 18.96°, rel. 100; hkl 1 0 4, 23.11°, rel. 45; hkl 0 1 5, 25.81°, rel. 59; hkl 1 1 0, 30.33°, rel. 61; hkl 1 0 7, 31.98°, rel. 44; hkl 1 1 3, 32.47°, rel. 27; hkl 0 2 4, 38.47°, rel. 20; hkl 0 0 12, 46.55°, rel. 25; hkl 1 1 12, 56.55°, rel. 20

(2)
The following is a computed powder XRD pattern of NaV3Pb4O12. It was derived from a PBE+U-relaxed structure, using Cu Kα, 1.54184 Å.
Lines closer than 0.1° are merged.

Structure:
Lattice parameters (Å, degrees): 10.3192 10.3192 7.4219 90.00 90.00 120.00
Space group P6_3 (No. 173)
Asymmetric unit:
Na: 0.3333 0.6667 0.0000 [2 per cell]
V: 0.0217 0.3989 0.7537 [6 per cell]
Pb: 0.0120 0.7467 0.7668 [6 per cell]
Pb: 0.3333 0.6667 0.4727 [2 per cell]
O: 0.0735 0.3208 0.9279 [6 per cell]
O: 0.0932 0.3607 0.5606 [6 per cell]
O: 0.1126 0.5955 0.7771 [6 per cell]
O: 0.1709 0.6802 0.2456 [6 per cell]

The 10 most intense peaks (5 to 70 degrees two-theta), by angle:
hkl 1 0 1, 15.52°, rel. 23; hkl 1 1 1, 20.97°, rel. 41; hkl 0 0 2, 23.98°, rel. 24; hkl 1 2 0, 26.39°, rel. 23; hkl 2 1 1, 29.04°, rel. 100; hkl 1 1 2, 29.65°, rel. 51; hkl 3 0 0, 30.00°, rel. 39; hkl 1 2 3, 45.44°, rel. 33; hkl 2 3 1, 45.92°, rel. 32; hkl 4 0 2, 47.50°, rel. 26

(3)
The following is a computed powder XRD pattern of Na3V4PbO12. It was derived from a PBE+U-relaxed structure, using Cu Kα, 1.54184 Å.
Lines closer than 0.1° are merged.

Structure:
Lattice parameters (Å, degrees): 12.2438 12.2438 6.6773 90.00 90.00 120.00
Space group R32 (No. 155, hexagonal axes)
Asymmetric unit:
Na: 0.0000 0.5710 0.0000 [9 per cell]
V: 0.0000 0.0000 0.5000 [3 per cell]
V: 0.0000 0.4265 0.5000 [9 per cell]
Pb: 0.0000 0.0000 0.0000 [3 per cell]
O: 0.0000 0.5631 0.5000 [9 per cell]
O: 0.0000 0.8611 0.5000 [9 per cell]
O: 0.0548 0.2526 0.1564 [18 per cell]

The 10 most intense peaks (5 to 70 degrees two-theta), by angle:
hkl 1 1 0, 14.47°, rel. 71; hkl 1 0 1, 15.68°, rel. 68; hkl 3 0 0, 25.20°, rel. 71; hkl 2 1 1, 25.93°, rel. 56; hkl 2 2 0, 29.17°, rel. 65; hkl 2 0 2, 31.67°, rel. 100; hkl 1 3 1, 33.29°, rel. 57; hkl 1 2 2, 34.98°, rel. 46; hkl 4 1 0, 38.92°, rel. 33; hkl 5 2 0, 54.01°, rel. 43